1.
Diffraction record for Sm6Mg23C. The XRD peak list is theoretical, not measured: it uses a cell relaxed with PBE and λ = 1.5418 Å (Cu Kα).
Intensities are scaled so that the largest is 100.

Crystal structure
```
Sm6Mg23C
1.0
0.0000 7.1419 7.1419
7.1419 0.0000 7.1419
7.1419 7.1419 0.0000
Sm Mg C
6 23 1
Cartesian
7.1419 7.1419 2.6141 Sm
7.1419 2.6141 7.1419 Sm
11.6696 7.1419 7.1419 Sm
2.6141 7.1419 7.1419 Sm
7.1419 11.6696 7.1419 Sm
7.1419 7.1419 11.6696 Sm
3.5709 3.5709 0.0000 Mg
3.5709 0.0000 3.5709 Mg
7.1419 3.5709 3.5709 Mg
8.8596 5.4241 5.4241 Mg
2.4297 2.4297 2.4297 Mg
4.7122 4.7122 2.4297 Mg
4.7122 2.4297 4.7122 Mg
5.4241 5.4241 5.4241 Mg
8.8596 8.8596 5.4241 Mg
8.8596 5.4241 8.8596 Mg
2.4297 4.7122 4.7122 Mg
0.0000 3.5709 3.5709 Mg
3.5709 7.1419 3.5709 Mg
3.5709 3.5709 7.1419 Mg
7.1419 7.1419 7.1419 Mg
11.8540 9.5715 9.5715 Mg
5.4241 8.8596 5.4241 Mg
5.4241 5.4241 8.8596 Mg
8.8596 8.8596 8.8596 Mg
9.5715 11.8540 9.5715 Mg
9.5715 9.5715 11.8540 Mg
11.8540 11.8540 11.8540 Mg
5.4241 8.8596 8.8596 Mg
0.0000 0.0000 0.0000 C
```

Most intense lines, 2θ = 10–80°, sorted by position:
2theta	I_rel
10.73	53
12.39	27
21.55	25
27.21	40
30.66	37
32.57	100
35.55	24
37.79	31
45.34	19
54.51	34
55.73	18
64.96	23

2.
Diffraction record for Mg6VC. The XRD peak list is theoretical, not measured: it uses a cell relaxed with PBE and λ = 1.5418 Å (Cu Kα).
Intensities are scaled so that the largest is 100.

Crystal structure
```
Mg6VC
1.0
3.0917 0.0000 0.0000
0.0000 4.9180 5.2202
0.0000 -4.9180 5.2202
Mg V C
6 1 1
Cartesian
0.0000 0.0000 0.0000 Mg
0.0000 -1.5556 2.9045 Mg
0.0000 1.5556 2.9045 Mg
1.5459 -2.3429 5.5564 Mg
1.5459 0.0000 7.7788 Mg
1.5459 2.3429 5.5564 Mg
0.0000 0.0000 5.1902 V
1.5459 0.0000 4.0530 C
```

Most intense lines, 2θ = 10–80°, sorted by position:
2theta	I_rel
12.36	63
16.98	21
18.04	12
28.54	18
31.52	16
34.33	49
36.54	16
37.69	16
38.47	100
40.55	26
50.55	11
64.29	20